Entry 1:
Diffraction record for U4AsC2N. The X-ray diffraction stick pattern is theoretical, not measured: it uses DFT lattice parameters and positions (PBE) and copper Kα.

Main lines, by intensity (10 to 90 degrees two-theta):
| d [Å] | I_rel |
| --- | --- |
| 2.596 | 100 |
| 2.696 | 90 |
| 2.644 | 65 |
| 2.998 | 58 |
| 2.807 | 50 |
| 1.844 | 46 |

a = 6.6684 Å, b = 6.6684 Å, c = 11.6072 Å
α = 90.00°, β = 90.00°, γ = 148.32°
Positions (direct):
U1 0.0000 0.0000 0.0000
U2 0.0000 0.0000 0.5000
U3 0.2518 0.7482 0.5856
U4 0.2518 0.7482 0.9144
U5 0.4372 0.5628 0.2500
U6 0.5628 0.4372 0.7500
U7 0.7482 0.2518 0.0856
U8 0.7482 0.2518 0.4144
As1 0.1188 0.8812 0.2500
As2 0.8812 0.1188 0.7500
C1 0.3874 0.6126 0.0614
C2 0.3874 0.6126 0.4386
C3 0.6126 0.3874 0.5614
C4 0.6126 0.3874 0.9386
N1 0.1734 0.8266 0.7500
N2 0.8266 0.1734 0.2500


Entry 2:
Diffraction record for Ba2AlSnO6. The X-ray diffraction stick pattern is theoretical, not measured: it uses DFT lattice parameters and positions (PBE) and copper Kα.

Main lines, by intensity (10 to 90 degrees two-theta):
| d [Å] | I_rel |
| --- | --- |
| 2.926 | 100 |
| 3.206 | 76 |
| 2.162 | 55 |
| 1.738 | 24 |
| 1.689 | 20 |
| 1.463 | 20 |

a = 10.2330 Å, b = 10.2330 Å, c = 10.2330 Å
α = 33.23°, β = 33.23°, γ = 33.23°
Positions (direct):
Ba1 0.1310 0.1310 0.1310
Ba2 0.2844 0.2844 0.2844
Ba3 0.7156 0.7156 0.7156
Ba4 0.8690 0.8690 0.8690
Al1 0.0000 0.0000 0.0000
Al2 0.5000 0.5000 0.5000
Sn1 0.4070 0.4070 0.4070
Sn2 0.5930 0.5930 0.5930
O1 0.1586 0.6086 0.6086
O2 0.1960 0.1960 0.7236
O3 0.1960 0.7236 0.1960
O4 0.2764 0.8040 0.8040
O5 0.3914 0.3914 0.8414
O6 0.3914 0.8414 0.3914
O7 0.6086 0.1586 0.6086
O8 0.6086 0.6086 0.1586
O9 0.7236 0.1960 0.1960
O10 0.8040 0.2764 0.8040
O11 0.8040 0.8040 0.2764
O12 0.8414 0.3914 0.3914


Entry 3:
Diffraction record for NiAsIrSe2. The X-ray diffraction stick pattern is theoretical, not measured: it uses DFT lattice parameters and positions (PBE) and copper Kα.

Main lines, by intensity (10 to 90 degrees two-theta):
| d [Å] | I_rel |
| --- | --- |
| 2.621 | 100 |
| 2.308 | 65 |
| 3.184 | 40 |
| 1.592 | 40 |
| 1.385 | 28 |
| 2.198 | 28 |

a = 4.6153 Å, b = 4.6153 Å, c = 4.3970 Å
α = 90.00°, β = 90.00°, γ = 90.00°
Positions (direct):
Ni1 0.0000 0.0000 0.0000
As1 0.0000 0.0000 0.5000
Ir1 0.5000 0.5000 0.5000
Se1 0.0000 0.5000 0.0000
Se2 0.5000 0.0000 0.0000


Entry 4:
Diffraction record for Ba4CdAg. The X-ray diffraction stick pattern is theoretical, not measured: it uses DFT lattice parameters and positions (PBE) and copper Kα.

Main lines, by intensity (10 to 90 degrees two-theta):
| d [Å] | I_rel |
| --- | --- |
| 2.951 | 100 |
| 1.704 | 32 |
| 4.818 | 21 |
| 4.173 | 19 |
| 2.089 | 12 |
| 1.321 | 11 |

a = 5.9077 Å, b = 5.9077 Å, c = 8.3281 Å
α = 90.05°, β = 90.05°, γ = 90.00°
Positions (direct):
Ba1 0.2497 0.2497 0.7501
Ba2 0.2507 0.2501 0.2503
Ba3 0.7499 0.7493 0.7497
Ba4 0.7503 0.7503 0.2499
Cd1 0.7499 0.2501 0.0000
Ag1 0.2504 0.7496 0.5000


Entry 5:
Diffraction record for RbLiSnP2. The X-ray diffraction stick pattern is theoretical, not measured: it uses DFT lattice parameters and positions (PBE) and copper Kα.

Main lines, by intensity (10 to 90 degrees two-theta):
| d [Å] | I_rel |
| --- | --- |
| 3.752 | 100 |
| 2.577 | 43 |
| 3.054 | 40 |
| 3.344 | 37 |
| 2.460 | 30 |
| 3.673 | 29 |

a = 7.1178 Å, b = 7.1178 Å, c = 9.8587 Å
α = 98.74°, β = 98.74°, γ = 34.11°
Positions (direct):
Rb1 0.1491 0.1491 0.1627
Rb2 0.8509 0.8509 0.8373
Li1 0.1864 0.1864 0.5602
Li2 0.8136 0.8136 0.4398
Sn1 0.4434 0.4434 0.3333
Sn2 0.5566 0.5566 0.6667
P1 0.1240 0.1240 0.8068
P2 0.3736 0.3736 0.5626
P3 0.6264 0.6264 0.4374
P4 0.8760 0.8760 0.1932


Entry 6:
Diffraction record for Pr15NdDy4. The X-ray diffraction stick pattern is theoretical, not measured: it uses DFT lattice parameters and positions (PBE) and copper Kα.

Main lines, by intensity (10 to 90 degrees two-theta):
| d [Å] | I_rel |
| --- | --- |
| 3.004 | 100 |
| 2.605 | 34 |
| 1.570 | 29 |
| 1.838 | 24 |
| 2.593 | 17 |
| 1.565 | 14 |

a = 5.2108 Å, b = 5.2108 Å, c = 25.9293 Å
α = 90.00°, β = 90.00°, γ = 90.00°
Positions (direct):
Pr1 0.0000 0.0000 0.0000
Pr2 0.0000 0.0000 0.2016
Pr3 0.0000 0.0000 0.4004
Pr4 0.0000 0.0000 0.5996
Pr5 0.0000 0.0000 0.7984
Pr6 0.0000 0.5000 0.1015
Pr7 0.0000 0.5000 0.3009
Pr8 0.0000 0.5000 0.5000
Pr9 0.0000 0.5000 0.6991
Pr10 0.0000 0.5000 0.8985
Pr11 0.5000 0.0000 0.1015
Pr12 0.5000 0.0000 0.3009
Pr13 0.5000 0.0000 0.5000
Pr14 0.5000 0.0000 0.6991
Pr15 0.5000 0.0000 0.8985
Nd1 0.5000 0.5000 0.0000
Dy1 0.5000 0.5000 0.2013
Dy2 0.5000 0.5000 0.4004
Dy3 0.5000 0.5000 0.5996
Dy4 0.5000 0.5000 0.7987


Entry 7:
Diffraction record for Sr6Hg2P. The X-ray diffraction stick pattern is theoretical, not measured: it uses DFT lattice parameters and positions (PBE) and copper Kα.

Main lines, by intensity (10 to 90 degrees two-theta):
| d [Å] | I_rel |
| --- | --- |
| 3.346 | 100 |
| 3.115 | 95 |
| 3.417 | 84 |
| 2.830 | 82 |
| 5.700 | 71 |
| 5.642 | 60 |

a = 7.6193 Å, b = 8.5945 Å, c = 13.4569 Å
α = 90.00°, β = 123.01°, γ = 90.00°
Positions (direct):
Sr1 0.1087 0.0389 0.2459
Sr2 0.1087 0.4611 0.7459
Sr3 0.2220 0.6930 0.0630
Sr4 0.2220 0.8070 0.5630
Sr5 0.3825 0.1785 0.0610
Sr6 0.3825 0.3215 0.5610
Sr7 0.6175 0.6785 0.4390
Sr8 0.6175 0.8215 0.9390
Sr9 0.7780 0.1930 0.4370
Sr10 0.7780 0.3070 0.9370
Sr11 0.8913 0.5389 0.2541
Sr12 0.8913 0.9611 0.7541
Hg1 0.3012 0.1066 0.7535
Hg2 0.3012 0.3934 0.2535
Hg3 0.6988 0.6066 0.7465
Hg4 0.6988 0.8934 0.2465
P1 0.0000 0.0000 0.0000
P2 0.0000 0.5000 0.5000


Entry 8:
Diffraction record for Ca2Be2InPt5. The X-ray diffraction stick pattern is theoretical, not measured: it uses DFT lattice parameters and positions (PBE) and copper Kα.

Main lines, by intensity (10 to 90 degrees two-theta):
| d [Å] | I_rel |
| --- | --- |
| 2.305 | 100 |
| 2.712 | 81 |
| 3.459 | 76 |
| 2.444 | 64 |
| 2.370 | 59 |
| 2.185 | 49 |

a = 9.7731 Å, b = 9.7731 Å, c = 3.4597 Å
α = 90.00°, β = 90.00°, γ = 90.00°
Positions (direct):
Ca1 0.1773 0.3227 0.0000
Ca2 0.3227 0.8227 0.0000
Ca3 0.6773 0.1773 0.0000
Ca4 0.8227 0.6773 0.0000
Be1 0.1200 0.6200 0.0000
Be2 0.3800 0.1200 0.0000
Be3 0.6200 0.8800 0.0000
Be4 0.8800 0.3800 0.0000
In1 0.0000 0.0000 0.0000
In2 0.5000 0.5000 0.0000
Pt1 0.0000 0.5000 0.5000
Pt2 0.0687 0.7788 0.5000
Pt3 0.2212 0.0687 0.5000
Pt4 0.2788 0.5687 0.5000
Pt5 0.4313 0.2788 0.5000
Pt6 0.5000 0.0000 0.5000
Pt7 0.5687 0.7212 0.5000
Pt8 0.7212 0.4313 0.5000
Pt9 0.7788 0.9313 0.5000
Pt10 0.9313 0.2212 0.5000


Entry 9:
Diffraction record for Li4Ru. The X-ray diffraction stick pattern is theoretical, not measured: it uses DFT lattice parameters and positions (PBE) and copper Kα.

Main lines, by intensity (10 to 90 degrees two-theta):
| d [Å] | I_rel |
| --- | --- |
| 4.763 | 100 |
| 3.368 | 84 |
| 2.130 | 46 |
| 1.944 | 35 |
| 2.381 | 23 |
| 1.588 | 22 |

a = 4.7628 Å, b = 4.7628 Å, c = 4.7628 Å
α = 90.00°, β = 90.00°, γ = 90.00°
Positions (direct):
Li1 0.0000 0.0000 0.0000
Li2 0.0000 0.5000 0.5000
Li3 0.5000 0.0000 0.5000
Li4 0.5000 0.5000 0.0000
Ru1 0.5000 0.5000 0.5000


Which formula does entry 7 have? Sr6Hg2P